Starting from DFT lattice parameters and positions (PBE), the X-ray diffraction stick pattern of HoTiTl was simulated for Cu Ka.
Lines closer than 0.1° are merged.

Cell and atoms:
Cell: 8.232 8.232 8.232 Å, 33.85 33.85 33.85°
Sites, in units of the cell vectors:
Ho  0.215  0.215  0.215
Ho  0.785  0.785  0.785
Ti  0.350  0.350  0.350
Ti  0.650  0.650  0.650
Tl  0.066  0.066  0.066
Tl  0.934  0.934  0.934

Peak list (10 most intense, 2θ from 5° to 70°, most intense first)
d = 2.594 Å, I 100; d = 2.396 Å, I 84; d = 4.086 Å, I 71; d = 1.760 Å, I 31; d = 1.418 Å, I 31; d = 2.381 Å, I 22; d = 1.542 Å, I 18; d = 2.038 Å, I 16; d = 1.383 Å, I 15; d = 3.876 Å, I 15